For CuAg, a DFT-relaxed cell (GGA-PBE, OQMD) gives the simulated powder X-ray diffraction pattern in this record (Cu Ka).

Peak list (10 most intense, 2θ = 5–70°, sorted by position)
d (Å)  Position (°2θ)  I_rel
2.605  34.43  19.5
2.436  36.89  58.2
2.355  38.21  14.0
2.277  39.57  16.9
2.229  40.48  44.7
2.178  41.47  100.0
2.130  42.44  19.3
1.987  45.65  15.5
1.676  54.77  21.3
1.375  68.19  15.9

Structural model:
```
data_CuAg
_chemical_formula_sum 'Cu8 Ag8'
_symmetry_space_group_name_H-M 'P 1'
_symmetry_Int_Tables_number 1
_cell_length_a 2.8646
_cell_length_b 3.3520
_cell_length_c 24.8297
_cell_angle_alpha 90.01
_cell_angle_beta 90.01
_cell_angle_gamma 90.00
loop_
_symmetry_equiv_pos_as_xyz
'x,y,z'
loop_
_atom_site_label
_atom_site_type_symbol
_atom_site_fract_x
_atom_site_fract_y
_atom_site_fract_z
Cu1 Cu 0.0000 0.0000 0.0000
Cu2 Cu 0.0010 0.9983 0.8963
Cu3 Cu 0.4772 0.5029 0.1543
Cu4 Cu 0.4940 0.5010 0.0517
Cu5 Cu 0.4956 0.4979 0.8443
Cu6 Cu 0.5026 0.4990 0.9481
Cu7 Cu 0.9852 0.0021 0.1038
Cu8 Cu 0.9885 0.9979 0.7939
Ag1 Ag 0.4582 0.5027 0.4376
Ag2 Ag 0.4630 0.5039 0.2910
Ag3 Ag 0.4635 0.5004 0.5839
Ag4 Ag 0.4796 0.4983 0.7312
Ag5 Ag 0.9594 0.0034 0.3644
Ag6 Ag 0.9596 0.0014 0.5108
Ag7 Ag 0.9693 0.0036 0.2170
Ag8 Ag 0.9703 0.9990 0.6573
```